This entry pairs a crystal structure of Th2Zn17 with its simulated powder diffractogram. Radiation: Cu Kα, 1.54184 Å. Structure: a cell relaxed with GGA-PBE.
Neutral-atom scattering factors, no anomalous dispersion.

Largest 8 diffraction maxima, low angle first, 2θ = 10–90°:
two_theta	d [Å]	intensity	(hkl)
28.2	3.166	46	1 1 2
34.3	2.617	43	3 0 0
38.2	2.358	35	2 0 3
39.8	2.267	58	2 2 0
40.0	2.252	100	3 0 2
40.8	2.212	29	0 0 4
58.3	1.583	18	2 2 4
73.8	1.285	19	3 0 6

Cell and atoms:
a b c (Å): 9.066 9.066 8.846
angles (deg): 90.00 90.00 120.00
Fractional coordinates of all 38 atoms:
Th: 0.000 0.000 0.250
Th: 0.000 0.000 0.750
Th: 0.333 0.667 0.250
Th: 0.667 0.333 0.750
Zn: 0.000 0.500 0.000
Zn: 0.000 0.500 0.500
Zn: 0.040 0.369 0.750
Zn: 0.040 0.671 0.750
Zn: 0.161 0.323 0.021
Zn: 0.161 0.323 0.479
Zn: 0.161 0.839 0.021
Zn: 0.161 0.839 0.479
Zn: 0.323 0.161 0.521
Zn: 0.323 0.161 0.979
Zn: 0.329 0.369 0.750
Zn: 0.329 0.960 0.750
Zn: 0.333 0.667 0.605
Zn: 0.333 0.667 0.895
Zn: 0.369 0.040 0.250
Zn: 0.369 0.329 0.250
Zn: 0.500 0.000 0.000
Zn: 0.500 0.000 0.500
Zn: 0.500 0.500 0.000
Zn: 0.500 0.500 0.500
Zn: 0.631 0.671 0.750
Zn: 0.631 0.960 0.750
Zn: 0.667 0.333 0.105
Zn: 0.667 0.333 0.395
Zn: 0.671 0.040 0.250
Zn: 0.671 0.631 0.250
Zn: 0.677 0.839 0.021
Zn: 0.677 0.839 0.479
Zn: 0.839 0.161 0.521
Zn: 0.839 0.161 0.979
Zn: 0.839 0.677 0.521
Zn: 0.839 0.677 0.979
Zn: 0.960 0.329 0.250
Zn: 0.960 0.631 0.250